Record 1
Diffraction record for Rb2CrBiCl6. The powder diffractogram is theoretical, not measured: it uses a PBE-relaxed structure and Cu Kα (weighted mean of Kα1 and Kα2).
Kinematic intensities with the Lorentz-polarization factor, no thermal factor.

Peak list (10 most intense, 2θ from 15° to 90°, in order of falling intensity)
d [Å], 2theta, Rel. int.
3.776, 23.6, 1000
2.180, 41.4, 461
1.888, 48.2, 441
2.667, 33.6, 434
3.220, 27.7, 250
5.339, 16.6, 234
2.676, 33.5, 219
1.428, 65.4, 168
2.450, 36.7, 161
1.687, 54.4, 148

Crystal structure
```
data_Rb2CrBiCl6
_chemical_formula_sum 'Rb4 Cr2 Bi2 Cl12'
_space_group_name_H-M_alt 'I 4/m m m'
_space_group_IT_number 139
_space_group_name_Hall '-I 4 2'
_cell_length_a 7.542
_cell_length_b 7.542
_cell_length_c 10.704
_cell_angle_alpha 90.00
_cell_angle_beta 90.00
_cell_angle_gamma 90.00
loop_
_atom_site_label
_atom_site_type_symbol
_atom_site_fract_x
_atom_site_fract_y
_atom_site_fract_z
Rb1 Rb 0.000 0.500 0.250
Cr1 Cr 0.000 0.000 0.000
Bi1 Bi 0.000 0.000 0.500
Cl1 Cl 0.000 0.000 0.238
Cl2 Cl 0.237 0.237 0.000
```

Record 2
Diffraction record for RbCrBiCl6. The powder diffractogram is theoretical, not measured: it uses a PBE-relaxed structure and Cu Kα (weighted mean of Kα1 and Kα2).
Kinematic intensities with the Lorentz-polarization factor, no thermal factor.

Peak list (10 most intense, 2θ from 15° to 90°, in order of falling intensity)
d [Å], 2theta, Rel. int.
4.560, 19.5, 1000
4.775, 18.6, 545
2.459, 36.5, 402
3.071, 29.1, 262
2.612, 34.3, 244
2.030, 44.6, 227
3.434, 25.9, 221
2.526, 35.5, 206
3.267, 27.3, 188
2.724, 32.9, 139

Crystal structure
```
data_RbCrBiCl6
_chemical_formula_sum 'Rb2 Cr2 Bi2 Cl12'
_space_group_name_H-M_alt 'C 1 2 1'
_space_group_IT_number 5
_cell_length_a 7.128
_cell_length_b 11.762
_cell_length_c 7.254
_cell_angle_alpha 90.00
_cell_angle_beta 93.21
_cell_angle_gamma 90.00
loop_
_space_group_symop_operation_xyz
'x,y,z'
'-x,y,-z'
'x+1/2,y+1/2,z'
'-x+1/2,y+1/2,-z'
loop_
_atom_site_label
_atom_site_type_symbol
_atom_site_fract_x
_atom_site_fract_y
_atom_site_fract_z
Rb1 Rb 0.000 0.000 0.000
Cr1 Cr 0.000 0.675 0.500
Bi1 Bi 0.000 0.337 0.500
Cl1 Cl 0.124 0.531 0.704
Cl2 Cl 0.169 0.818 0.683
Cl3 Cl 0.183 0.198 0.732
```

Record 3
Diffraction record for CsBiCl14. The powder diffractogram is theoretical, not measured: it uses a PBE-relaxed structure and Cu Kα (weighted mean of Kα1 and Kα2).
Kinematic intensities with the Lorentz-polarization factor, no thermal factor.

Peak list (10 most intense, 2θ from 15° to 90°, in order of falling intensity)
d [Å], 2theta, Rel. int.
4.964, 17.9, 1000
3.378, 26.4, 924
5.566, 15.9, 904
3.791, 23.5, 749
4.887, 18.2, 720
5.012, 17.7, 716
4.050, 21.9, 711
2.593, 34.6, 520
3.340, 26.7, 480
5.443, 16.3, 467

Crystal structure
```
data_CsBiCl14
_chemical_formula_sum 'Cs1 Bi1 Cl14'
_space_group_name_H-M_alt 'P 1'
_space_group_IT_number 1
_cell_length_a 8.337
_cell_length_b 8.604
_cell_length_c 10.339
_cell_angle_alpha 104.28
_cell_angle_beta 110.64
_cell_angle_gamma 97.34
loop_
_space_group_symop_operation_xyz
'x,y,z'
loop_
_atom_site_label
_atom_site_type_symbol
_atom_site_fract_x
_atom_site_fract_y
_atom_site_fract_z
Cs1 Cs 0.000 0.000 0.000
Bi1 Bi 0.469 0.417 0.863
Cl1 Cl 0.069 0.424 0.234
Cl2 Cl 0.085 0.383 0.429
Cl3 Cl 0.090 0.336 0.668
Cl4 Cl 0.216 0.778 0.312
Cl5 Cl 0.318 0.024 0.372
Cl6 Cl 0.360 0.746 0.994
Cl7 Cl 0.399 0.372 0.069
Cl8 Cl 0.452 0.925 0.917
Cl9 Cl 0.503 0.417 0.553
Cl10 Cl 0.582 0.149 0.818
Cl11 Cl 0.760 0.393 0.610
Cl12 Cl 0.772 0.612 0.003
Cl13 Cl 0.908 0.761 0.631
Cl14 Cl 0.988 0.003 0.643
```

Record 4
Diffraction record for CsBi2Cl8. The powder diffractogram is theoretical, not measured: it uses a PBE-relaxed structure and Cu Kα (weighted mean of Kα1 and Kα2).
Kinematic intensities with the Lorentz-polarization factor, no thermal factor.

Peak list (10 most intense, 2θ from 15° to 90°, in order of falling intensity)
d [Å], 2theta, Rel. int.
4.344, 20.4, 1000
4.277, 20.8, 647
2.403, 37.4, 491
3.047, 29.3, 454
2.687, 33.3, 445
4.139, 21.5, 396
5.375, 16.5, 395
2.509, 35.8, 342
2.254, 40.0, 339
2.740, 32.7, 315

Crystal structure
```
data_CsBi2Cl8
_chemical_formula_sum 'Cs2 Bi4 Cl16'
_space_group_name_H-M_alt 'C m m m'
_space_group_IT_number 65
_space_group_name_Hall '-C 2 2'
_cell_length_a 8.682
_cell_length_b 14.128
_cell_length_c 5.375
_cell_angle_alpha 90.00
_cell_angle_beta 90.00
_cell_angle_gamma 90.00
loop_
_atom_site_label
_atom_site_type_symbol
_atom_site_fract_x
_atom_site_fract_y
_atom_site_fract_z
Cs1 Cs 0.000 0.000 0.000
Bi1 Bi 0.000 0.299 0.500
Cl1 Cl 0.000 0.258 0.000
Cl2 Cl 0.000 0.500 0.247
Cl3 Cl 0.189 0.139 0.500
```